# TmV2CdO8
Simulated X-ray powder pattern, a wavelength of 1.5418 Å. Input: a GGA+U-relaxed structure.
Neutral-atom scattering factors, no anomalous dispersion.

Top 10 peaks for 10 to 90 degrees two-theta, in order of falling intensity:
2θ/deg  I/Imax
24.8  100
33.1  73
49.2  59
18.6  38
35.3  20
62.0  17
50.8  16
40.2  14
57.3  14
73.4  13

Atomic structure:
Cell: 6.001 6.001 6.001 Å, 106.45 106.45 115.70°
Atoms (fractional coordinates):
Tm 0.000 0.000 0.000
V 0.250 0.750 0.500
V 0.500 0.500 0.000
Cd 0.750 0.250 0.500
O 0.089 0.394 0.305
O 0.089 0.785 0.695
O 0.138 0.322 0.816
O 0.215 0.911 0.305
O 0.506 0.322 0.184
O 0.606 0.911 0.695
O 0.678 0.494 0.816
O 0.678 0.862 0.184